# 1
Starting from a DFT-relaxed cell (PBE+U, the Materials Project), the powder XRD pattern of LiMn4P3O12 was simulated for a wavelength of 1.5418 Å.
Peak positions follow from Bragg's law for the DFT cell and can differ from measured ones.

The 6 most intense peaks (2θ from 10° to 90°), by intensity:
| Position (°2θ) | I_rel |
| --- | --- |
| 32.10 | 1000 |
| 31.76 | 885 |
| 18.37 | 575 |
| 34.34 | 497 |
| 25.68 | 416 |
| 17.79 | 403 |

Structure:
```
data_LiMn4P3O12
_space_group_name_H-M_alt 'P 63'
_space_group_IT_number 173
_space_group_name_Hall 'P 6c'
_cell_length_a 9.6584
_cell_length_b 9.6584
_cell_length_c 6.2094
_cell_angle_alpha 90.00
_cell_angle_beta 90.00
_cell_angle_gamma 120.00
loop_
_atom_site_label
_atom_site_type_symbol
_atom_site_fract_x
_atom_site_fract_y
_atom_site_fract_z
Li1 Li 0.3333 0.6667 0.0000
Mn1 Mn 0.0361 0.3035 0.7212
Mn2 Mn 0.3333 0.6667 0.4644
P1 P 0.0190 0.6304 0.7218
O1 O 0.0667 0.7488 0.5269
O2 O 0.0709 0.7474 0.9177
O3 O 0.1311 0.5556 0.7124
O4 O 0.1570 0.5008 0.2250
```

---

# 2
Starting from a DFT-relaxed cell (PBE+U, the Materials Project), the powder XRD pattern of LiMnPO4 was simulated for a wavelength of 1.5418 Å.
Peak positions follow from Bragg's law for the DFT cell and can differ from measured ones.

The 6 most intense peaks (2θ from 10° to 90°), by intensity:
| Position (°2θ) | I_rel |
| --- | --- |
| 11.24 | 1000 |
| 25.43 | 353 |
| 35.75 | 287 |
| 33.62 | 220 |
| 37.59 | 129 |
| 44.38 | 123 |

Structure:
```
data_LiMnPO4
_space_group_name_H-M_alt 'R -3'
_space_group_IT_number 148
_space_group_name_Hall '-R 3'
_cell_length_a 5.0233
_cell_length_b 5.0233
_cell_length_c 23.6096
_cell_angle_alpha 90.00
_cell_angle_beta 90.00
_cell_angle_gamma 120.00
loop_
_atom_site_label
_atom_site_type_symbol
_atom_site_fract_x
_atom_site_fract_y
_atom_site_fract_z
Li1 Li 0.0000 0.0000 0.2198
Mn1 Mn 0.0000 0.0000 0.3454
P1 P 0.0000 0.0000 0.0783
O1 O 0.0000 0.0000 0.1417
O2 O 0.0229 0.6327 0.6120
```

---

> What is the formula in the first record?

LiMn4P3O12